Sr2MnZn2As2O2: theoretical powder diffractogram (CuKα), based on a GGA+U-relaxed structure.
Kinematic intensities with the Lorentz-polarization factor, no thermal factor.

Most intense lines, 10 to 80 degrees two-theta, by angle:
2θ (°)  d/Å  intensity
31.6  2.830  30
31.9  2.802  100
35.8  2.510  68
39.8  2.264  39
43.1  2.098  73
54.6  1.680  42

Structural model:
Cell lengths 4.1964, 4.1964, 18.8220 Å; angles 90.00, 90.00, 90.00 degrees
Space group I4/mmm (No. 139)
Inequivalent atoms, fractional coordinates:
Sr 0.0000 0.0000 0.0870 x4
Mn 0.0000 0.0000 0.5000 x2
Zn 0.0000 0.5000 0.2500 x4
As 0.0000 0.0000 0.3313 x4
O 0.0000 0.5000 0.0000 x4